Starting from a structure optimized by DFT (GGA-PBE), the powder diffraction line list of SrCa2I6 was computed for Cu Kα, 1.54184 Å.
No peak broadening, texture or thermal motion is included.

Cell lengths 7.298, 27.060, 8.094 Å; angles 90.00, 90.00, 90.00 degrees
Atoms (fractional coordinates):
Sr: 0.000 0.121 0.250
Sr: 0.000 0.879 0.750
Sr: 0.500 0.379 0.750
Sr: 0.500 0.621 0.250
Ca: 0.000 0.213 0.750
Ca: 0.000 0.454 0.250
Ca: 0.000 0.546 0.750
Ca: 0.000 0.787 0.250
Ca: 0.500 0.046 0.750
Ca: 0.500 0.287 0.250
Ca: 0.500 0.713 0.750
Ca: 0.500 0.954 0.250
I: 0.237 0.463 0.572
I: 0.237 0.537 0.072
I: 0.242 0.128 0.592
I: 0.242 0.872 0.092
I: 0.250 0.207 0.068
I: 0.250 0.293 0.568
I: 0.250 0.707 0.068
I: 0.250 0.793 0.568
I: 0.258 0.372 0.092
I: 0.258 0.628 0.592
I: 0.263 0.037 0.072
I: 0.263 0.963 0.572
I: 0.737 0.037 0.428
I: 0.737 0.963 0.928
I: 0.742 0.372 0.408
I: 0.742 0.628 0.908
I: 0.750 0.207 0.432
I: 0.750 0.293 0.932
I: 0.750 0.707 0.432
I: 0.750 0.793 0.932
I: 0.758 0.128 0.908
I: 0.758 0.872 0.408
I: 0.763 0.463 0.928
I: 0.763 0.537 0.428

Principal peaks in the range 10 to 90 degrees two-theta, in order of falling intensity:
Position (°2θ)  d (Å)  Rel. int.
25.7  3.467  1000
25.2  3.539  456
33.5  2.677  305
38.9  2.315  302
43.7  2.070  226
24.4  3.649  213
33.1  2.710  206
40.0  2.255  156



Starting from a structure optimized by DFT (GGA-PBE), the powder diffraction line list of SrCaI4 was computed for Cu Kα, 1.54184 Å.
No peak broadening, texture or thermal motion is included.

Cell lengths 9.832, 10.902, 11.362 Å; angles 90.00, 123.58, 90.00 degrees
Atoms (fractional coordinates):
Sr: 0.008 0.216 0.154
Sr: 0.008 0.284 0.654
Sr: 0.992 0.716 0.346
Sr: 0.992 0.784 0.846
Ca: 0.500 0.046 0.287
Ca: 0.500 0.454 0.787
Ca: 0.500 0.546 0.213
Ca: 0.500 0.954 0.713
I: 0.179 0.665 0.170
I: 0.179 0.835 0.670
I: 0.181 0.060 0.987
I: 0.181 0.440 0.487
I: 0.251 0.508 0.886
I: 0.251 0.992 0.386
I: 0.401 0.186 0.805
I: 0.401 0.314 0.305
I: 0.599 0.686 0.695
I: 0.599 0.814 0.195
I: 0.749 0.008 0.614
I: 0.749 0.492 0.114
I: 0.819 0.560 0.513
I: 0.819 0.940 0.013
I: 0.821 0.165 0.330
I: 0.821 0.335 0.830

Principal peaks in the range 10 to 90 degrees two-theta, in order of falling intensity:
Position (°2θ)  d (Å)  Rel. int.
26.4  3.381  1000
24.2  3.676  976
25.3  3.516  744
30.3  2.954  698
28.4  3.137  684
25.6  3.474  618
24.9  3.574  530
27.2  3.274  490



Starting from a structure optimized by DFT (GGA-PBE), the powder diffraction line list of SrCaI4 was computed for Cu Kα, 1.54184 Å.
No peak broadening, texture or thermal motion is included.

Cell lengths 9.021, 9.021, 9.021 Å; angles 115.20, 106.69, 106.68 degrees
Atoms (fractional coordinates):
Sr: 0.500 0.000 0.000
Sr: 0.500 0.500 0.500
Ca: 0.015 0.265 0.750
Ca: 0.985 0.735 0.250
I: 0.190 0.175 0.485
I: 0.190 0.705 0.015
I: 0.272 0.727 0.545
I: 0.317 0.273 0.045
I: 0.683 0.727 0.955
I: 0.728 0.273 0.455
I: 0.810 0.295 0.985
I: 0.810 0.825 0.515

Principal peaks in the range 10 to 90 degrees two-theta, in order of falling intensity:
Position (°2θ)  d (Å)  Rel. int.
24.7  3.598  1000
40.1  2.248  379
26.2  3.406  369
32.1  2.785  346
16.5  5.386  219
33.3  2.693  215
23.4  3.809  192
37.2  2.417  163



Starting from a structure optimized by DFT (GGA-PBE), the powder diffraction line list of SrCaI4 was computed for Cu Kα, 1.54184 Å.
No peak broadening, texture or thermal motion is included.

Cell lengths 7.636, 7.636, 4.788 Å; angles 90.00, 90.00, 90.02 degrees
Atoms (fractional coordinates):
Sr: 0.000 0.000 0.000
Ca: 0.500 0.500 0.500
I: 0.207 0.207 0.500
I: 0.308 0.692 0.000
I: 0.692 0.308 0.000
I: 0.793 0.793 0.500

Principal peaks in the range 10 to 90 degrees two-theta, in order of falling intensity:
Position (°2θ)  d (Å)  Rel. int.
24.9  3.582  1000
40.1  2.247  379
26.1  3.415  344
32.2  2.780  324
33.2  2.700  238
16.4  5.399  215
23.3  3.818  208
41.9  2.156  180